# 1
Structure and calculated powder XRD pattern of Se2I3Cl4 (a PBE-relaxed structure; Cu Ka).

Structure:
Cell lengths 15.7111, 14.1306, 7.3432 Å; angles 90.00, 96.87, 90.00 degrees
Space group C2/c (No. 15)
Inequivalent atoms, fractional coordinates:
Se 0.2483 0.0955 0.0445 x8
I 0.0000 0.1313 0.2500 x4
I 0.1463 0.4500 0.2017 x8
Cl 0.1604 0.1872 0.8646 x8
Cl 0.1633 0.1312 0.3292 x8

Peak list (10 most intense, 2θ = 5–70°, by angle)
Position (°2θ), intensity
11.35, 43.9
12.53, 42.6
15.36, 100.0
18.18, 49.8
19.69, 56.7
23.55, 84.7
28.88, 44.1
29.25, 34.6
30.04, 25.5
40.24, 28.9

---

# 2
Structure and calculated powder XRD pattern of Sn7I12Cl (a PBE-relaxed structure; Cu Ka).

Structure:
Cell lengths 16.6947, 16.6947, 10.9361 Å; angles 90.00, 90.00, 120.00 degrees
Space group R-3 (No. 148, hexagonal axes)
Inequivalent atoms, fractional coordinates:
Sn 0.0000 0.0000 0.0000 x3
Sn 0.0548 0.1821 0.3406 x18
I 0.0195 0.5858 0.1567 x18
I 0.0456 0.1722 0.8246 x18
Cl 0.0000 0.0000 0.5000 x3

Peak list (10 most intense, 2θ = 5–70°, by angle)
Position (°2θ), intensity
14.69, 14.9
23.63, 17.3
27.59, 100.0
38.90, 39.6
39.91, 36.3
48.35, 21.7
50.03, 7.2
56.96, 12.6
63.72, 18.0
65.14, 15.9

---

# 3
Structure and calculated powder XRD pattern of Sn3I4Cl2 (a PBE-relaxed structure; Cu Ka).

Structure:
Cell lengths 4.2910, 4.2910, 23.5144 Å; angles 90.00, 90.00, 120.00 degrees
Space group P3m1 (No. 156)
Inequivalent atoms, fractional coordinates:
Sn 0.0000 0.0000 0.0000 x1
Sn 0.0000 0.0000 0.3410 x1
Sn 0.6667 0.3333 0.6855 x1
I 0.0000 0.0000 0.5978 x1
I 0.0000 0.0000 0.7731 x1
I 0.6667 0.3333 0.2534 x1
I 0.6667 0.3333 0.4287 x1
Cl 0.6667 0.3333 0.0694 x1
Cl 0.6667 0.3333 0.9307 x1

Peak list (10 most intense, 2θ = 5–70°, by angle)
Position (°2θ), intensity
11.29, 63.7
23.95, 68.4
28.41, 68.6
30.66, 100.0
36.04, 43.1
39.07, 22.3
42.12, 60.1
52.99, 21.3
64.39, 22.1
68.70, 19.7

---

# 4
Structure and calculated powder XRD pattern of Sn2I2Cl (a PBE-relaxed structure; Cu Ka).

Structure:
Cell lengths 7.9783, 7.9783, 5.0352 Å; angles 90.00, 90.00, 90.00 degrees
Space group P4/mbm (No. 127)
Inequivalent atoms, fractional coordinates:
Sn 0.1570 0.3430 0.0000 x4
I 0.1707 0.6707 0.5000 x4
Cl 0.0000 0.0000 0.0000 x2

Peak list (10 most intense, 2θ = 5–70°, by angle)
Position (°2θ), intensity
15.71, 7.6
22.29, 15.1
30.71, 100.0
35.62, 37.2
48.41, 12.6
50.53, 21.7
51.26, 16.1
61.01, 14.3
61.55, 10.3
65.70, 12.5

---

# 5
Structure and calculated powder XRD pattern of Sn3I2Cl4 (a PBE-relaxed structure; Cu Ka).

Structure:
Cell lengths 4.1871, 4.1871, 22.3084 Å; angles 90.00, 90.00, 120.00 degrees
Space group P3m1 (No. 156)
Inequivalent atoms, fractional coordinates:
Sn 0.0000 0.0000 0.0000 x1
Sn 0.0000 0.0000 0.3615 x1
Sn 0.6667 0.3333 0.6628 x1
I 0.6667 0.3333 0.0942 x1
I 0.6667 0.3333 0.9058 x1
Cl 0.0000 0.0000 0.5884 x1
Cl 0.0000 0.0000 0.7371 x1
Cl 0.6667 0.3333 0.2871 x1
Cl 0.6667 0.3333 0.4359 x1

Peak list (10 most intense, 2θ = 5–70°, by angle)
Position (°2θ), intensity
7.93, 18.9
11.90, 66.3
24.55, 58.4
27.36, 26.6
29.38, 36.4
31.80, 100.0
34.55, 23.6
40.82, 26.8
43.21, 46.1
54.64, 21.1

---

# 6
Structure and calculated powder XRD pattern of Sr2ICl3 (a PBE-relaxed structure; Cu Ka).

Structure:
Cell lengths 4.6082, 9.4472, 10.3973 Å; angles 90.00, 90.00, 90.00 degrees
Space group Amm2 (No. 38)
Inequivalent atoms, fractional coordinates:
Sr 0.0000 0.0000 0.0000 x2
Sr 0.5000 0.0000 0.4574 x2
I 0.5000 0.0000 0.7760 x2
Cl 0.0000 0.1924 0.4691 x4
Cl 0.5000 0.0000 0.1740 x2

Peak list (10 most intense, 2θ = 5–70°, by angle)
Position (°2θ), intensity
17.06, 24.9
18.79, 100.0
23.12, 52.0
25.84, 57.9
27.03, 49.2
27.41, 41.7
33.72, 85.1
35.59, 42.4
39.09, 31.5
43.51, 71.1

---

# 7
Structure and calculated powder XRD pattern of TaTl3I2Cl6 (a PBE-relaxed structure; Cu Ka).

Structure:
Cell lengths 17.2382, 8.8795, 5.7652 Å; angles 90.00, 90.11, 90.00 degrees
Space group C2/m (No. 12)
Inequivalent atoms, fractional coordinates:
Ta 0.0000 0.0000 0.0000 x2
Tl 0.0000 0.5000 0.5000 x2
Tl 0.2500 0.2500 0.0000 x4
I 0.1956 0.5000 0.4371 x4
Cl 0.0608 0.1900 0.7736 x8
Cl 0.1096 0.0000 0.2456 x4

Peak list (10 most intense, 2θ = 5–70°, by angle)
Position (°2θ), intensity
19.06, 100.0
20.61, 54.6
22.53, 39.9
25.32, 51.1
27.38, 65.1
31.88, 47.1
37.28, 37.3
37.53, 39.0
38.68, 37.8
49.27, 27.6

---

# 8
Structure and calculated powder XRD pattern of TbI3Cl (a PBE-relaxed structure; Cu Ka).

Structure:
Cell lengths 13.0477, 7.0941, 8.6683 Å; angles 90.00, 90.00, 90.00 degrees
Space group Ima2 (No. 46)
Inequivalent atoms, fractional coordinates:
Tb 0.2500 0.2475 0.0000 x4
I 0.0125 0.2489 0.0001 x8
I 0.2500 0.5495 0.7521 x4
Cl 0.2500 0.0307 0.7486 x4

Peak list (10 most intense, 2θ = 5–70°, by angle)
Position (°2θ), intensity
14.21, 53.0
20.49, 32.6
24.66, 45.4
25.05, 82.6
27.34, 84.0
32.62, 100.0
41.68, 27.7
42.39, 26.7
43.07, 87.5
50.57, 29.9

---

# 9
Structure and calculated powder XRD pattern of TbICl (a PBE-relaxed structure; Cu Ka).

Structure:
Cell lengths 3.6152, 3.6152, 14.7725 Å; angles 90.00, 90.00, 90.00 degrees
Space group I4mm (No. 107)
Inequivalent atoms, fractional coordinates:
Tb 0.0000 0.0000 0.0000 x2
I 0.0000 0.0000 0.3709 x2
Cl 0.0000 0.0000 0.6027 x2

Peak list (10 most intense, 2θ = 5–70°, by angle)
Position (°2θ), intensity
11.98, 100.0
25.36, 13.4
30.68, 94.5
35.10, 45.9
37.22, 26.4
39.39, 53.7
50.49, 16.0
60.25, 27.3
62.00, 15.4
65.85, 23.0

---

# 10
Structure and calculated powder XRD pattern of Te2ICl (a PBE-relaxed structure; Cu Ka).

Structure:
Cell lengths 5.4113, 5.4113, 18.4842 Å; angles 90.00, 90.00, 120.00 degrees
Space group R-3m (No. 166, hexagonal axes)
Inequivalent atoms, fractional coordinates:
Te 0.0000 0.0000 0.1607 x6
I 0.0000 0.0000 0.0000 x3
Cl 0.0000 0.0000 0.5000 x3

Peak list (10 most intense, 2θ = 5–70°, by angle)
Position (°2θ), intensity
14.38, 35.8
19.54, 100.0
28.98, 42.7
30.81, 19.4
33.11, 92.4
36.26, 21.1
38.74, 17.7
39.16, 24.6
44.57, 76.9
67.19, 22.1

---

# 11
Structure and calculated powder XRD pattern of TeICl3 (a PBE-relaxed structure; Cu Ka).

Structure:
Cell lengths 8.3753, 11.5037, 12.4315 Å; angles 90.00, 95.19, 90.00 degrees
Space group P2/c (No. 13)
Inequivalent atoms, fractional coordinates:
Te 0.0883 0.1401 0.0986 x4
I 0.0800 0.3797 0.0806 x4
Cl 0.0548 0.1215 0.5915 x4
Cl 0.2145 0.1447 0.2965 x4
Cl 0.3456 0.1167 0.0367 x4

Peak list (10 most intense, 2θ = 5–70°, by angle)
Position (°2θ), intensity
7.69, 17.1
10.50, 50.1
10.61, 100.0
14.31, 14.4
15.40, 37.5
17.04, 25.8
24.64, 19.1
31.10, 16.5
31.73, 13.9
32.95, 15.4

---

# 12
Structure and calculated powder XRD pattern of TeWI2Cl (a PBE-relaxed structure; Cu Ka).

Structure:
Cell lengths 5.4752, 5.4752, 5.2344 Å; angles 90.00, 90.00, 90.00 degrees
Space group P4/mmm (No. 123)
Inequivalent atoms, fractional coordinates:
Te 0.0000 0.0000 0.0000 x1
W 0.0000 0.0000 0.5000 x1
I 0.0000 0.5000 0.5000 x2
Cl 0.5000 0.5000 0.0000 x1

Peak list (10 most intense, 2θ = 5–70°, by angle)
Position (°2θ), intensity
16.19, 100.0
16.94, 46.5
28.68, 39.1
32.71, 89.9
34.26, 39.6
36.70, 27.4
37.06, 27.2
46.94, 32.4
48.10, 60.2
59.38, 31.8